1.
# Li3V4FeO12
Simulated XRD peak list, a wavelength of 1.5418 Å. Input: a crystal structure in the Materials Project, relaxed with PBE+U.

Structural model:
```
data_Li3V4FeO12
_cell_length_a 7.736
_cell_length_b 7.742
_cell_length_c 10.236
_cell_angle_alpha 110.68
_cell_angle_beta 101.08
_cell_angle_gamma 106.15
_space_group_name_H-M_alt 'P 1'
_space_group_IT_number 1
_space_group_name_Hall 'P 1'
loop_
_atom_site_label
_atom_site_type_symbol
_atom_site_fract_x
_atom_site_fract_y
_atom_site_fract_z
_atom_site_occupancy
Li1 Li 0.000 0.000 0.000 1
Li2 Li 0.108 0.862 0.251 1
Li3 Li 0.275 0.528 0.751 1
Li4 Li 0.498 0.005 0.502 1
Li5 Li 0.611 0.865 0.751 1
Li6 Li 0.775 0.528 0.251 1
V1 V 0.350 0.149 0.780 1
V2 V 0.362 0.557 0.217 1
V3 V 0.395 0.961 0.035 1
V4 V 0.423 0.363 0.466 1
V5 V 0.837 0.150 0.285 1
V6 V 0.866 0.573 0.721 1
V7 V 0.903 0.958 0.537 1
V8 V 0.918 0.371 0.966 1
Fe1 Fe 0.175 0.676 0.506 1
Fe2 Fe 0.668 0.673 0.996 1
O1 O 0.066 0.639 0.670 1
O2 O 0.091 0.106 0.702 1
O3 O 0.161 0.405 0.055 1
O4 O 0.204 0.862 0.080 1
O5 O 0.280 0.128 0.422 1
O6 O 0.310 0.736 0.340 1
O7 O 0.331 0.102 0.949 1
O8 O 0.356 0.537 0.580 1
O9 O 0.394 0.957 0.652 1
O10 O 0.417 0.402 0.299 1
O11 O 0.455 0.780 0.922 1
O12 O 0.466 0.400 0.831 1
O13 O 0.557 0.654 0.174 1
O14 O 0.600 0.123 0.203 1
O15 O 0.652 0.386 0.553 1
O16 O 0.706 0.860 0.574 1
O17 O 0.783 0.137 0.928 1
O18 O 0.801 0.746 0.849 1
O19 O 0.847 0.111 0.447 1
O20 O 0.849 0.544 0.082 1
O21 O 0.894 0.975 0.162 1
O22 O 0.902 0.394 0.801 1
O23 O 0.959 0.773 0.421 1
O24 O 0.977 0.388 0.328 1
```

Peak list (10 most intense, 10° ≤ 2θ ≤ 90°, in order of rising 2θ)
2θ = 18.32°, I = 45.2, (-1 1 1)
2θ = 19.09°, I = 30.0, (1 1 -1)
2θ = 23.73°, I = 26.0, (1 -2 1)
2θ = 25.33°, I = 61.5, (2 0 0)
2θ = 27.49°, I = 100.0, (1 1 1)
2θ = 29.30°, I = 55.3, (-1 2 1)
2θ = 31.49°, I = 17.4, (1 -1 3)
2θ = 33.33°, I = 35.3, (2 -2 2)
2θ = 35.00°, I = 20.9, (-3 1 1)
2θ = 51.24°, I = 20.2, (3 -1 3)

***

2.
# NaMg4V3O12
Simulated XRD peak list, a wavelength of 1.5418 Å. Input: a crystal structure in the Materials Project, relaxed with PBE+U.

Structural model:
```
data_NaMg4V3O12
_cell_length_a 6.973
_cell_length_b 6.973
_cell_length_c 19.508
_cell_angle_alpha 90.00
_cell_angle_beta 90.00
_cell_angle_gamma 90.00
_space_group_name_H-M_alt 'I -4 2 d'
_space_group_IT_number 122
_space_group_name_Hall 'I -4 2bw'
loop_
_atom_site_label
_atom_site_type_symbol
_atom_site_fract_x
_atom_site_fract_y
_atom_site_fract_z
_atom_site_occupancy
Na1 Na 0.000 0.000 0.000 1
Mg1 Mg 0.000 0.000 0.274 1
Mg2 Mg 0.242 0.750 0.625 1
V1 V 0.000 0.000 0.500 1
V2 V 0.151 0.250 0.125 1
O1 O 0.009 0.699 0.059 1
O2 O 0.042 0.728 0.902 1
O3 O 0.055 0.708 0.704 1
```

Peak list (10 most intense, 10° ≤ 2θ ≤ 90°, in order of rising 2θ)
2θ = 18.66°, I = 10.1, (1 0 3)
2θ = 26.17°, I = 22.6, (1 0 5)
2θ = 29.00°, I = 36.2, (2 1 1)
2θ = 31.54°, I = 100.0, (2 0 4)
2θ = 31.83°, I = 14.1, (2 1 3)
2θ = 33.00°, I = 12.5, (1 1 6)
2θ = 36.87°, I = 9.4, (0 0 8)
2θ = 37.84°, I = 10.1, (2 0 6)
2θ = 52.49°, I = 15.8, (4 0 0)
2θ = 52.82°, I = 32.0, (2 2 8)

***

3.
# Ca2VClO4
Simulated XRD peak list, a wavelength of 1.5418 Å. Input: a crystal structure in the Materials Project, relaxed with PBE+U.

Structural model:
```
data_Ca2VClO4
_cell_length_a 6.398
_cell_length_b 7.204
_cell_length_c 11.190
_cell_angle_alpha 90.00
_cell_angle_beta 90.00
_cell_angle_gamma 90.00
_space_group_name_H-M_alt 'P b c m'
_space_group_IT_number 57
_space_group_name_Hall '-P 2c 2b'
loop_
_atom_site_label
_atom_site_type_symbol
_atom_site_fract_x
_atom_site_fract_y
_atom_site_fract_z
_atom_site_occupancy
Ca1 Ca 0.121 0.250 0.000 1
Ca2 Ca 0.359 0.527 0.250 1
V1 V 0.373 0.750 0.000 1
Cl1 Cl 0.010 0.695 0.750 1
O1 O 0.209 0.564 0.029 1
O2 O 0.465 0.231 0.625 1
```

Peak list (10 most intense, 10° ≤ 2θ ≤ 90°, in order of rising 2θ)
2θ = 15.84°, I = 48.9, (0 0 2)
2θ = 20.19°, I = 74.1, (1 1 1)
2θ = 24.72°, I = 63.1, (0 2 0)
2θ = 29.50°, I = 76.6, (0 2 2)
2θ = 30.58°, I = 47.8, (2 1 0)
2θ = 31.99°, I = 100.0, (0 0 4)
2θ = 32.71°, I = 56.6, (1 2 2)
2θ = 34.62°, I = 85.7, (2 1 2)
2θ = 44.84°, I = 60.1, (2 1 4)
2θ = 50.22°, I = 64.7, (2 3 2)

***

4.
# V2Cu3Bi4O14
Simulated XRD peak list, a wavelength of 1.5418 Å. Input: a crystal structure in the Materials Project, relaxed with PBE+U.

Structural model:
```
data_V2Cu3Bi4O14
_cell_length_a 5.339
_cell_length_b 8.068
_cell_length_c 8.117
_cell_angle_alpha 74.61
_cell_angle_beta 89.51
_cell_angle_gamma 70.75
_space_group_name_H-M_alt 'P -1'
_space_group_IT_number 2
_space_group_name_Hall '-P 1'
loop_
_atom_site_label
_atom_site_type_symbol
_atom_site_fract_x
_atom_site_fract_y
_atom_site_fract_z
_atom_site_occupancy
V1 V 0.248 0.428 0.254 1
Cu1 Cu 0.136 0.779 0.477 1
Cu2 Cu 0.500 0.000 0.500 1
Bi1 Bi 0.075 0.844 0.861 1
Bi2 Bi 0.395 0.206 0.804 1
O1 O 0.036 0.608 0.658 1
O2 O 0.171 0.667 0.171 1
O3 O 0.212 0.070 0.644 1
O4 O 0.253 0.001 0.997 1
O5 O 0.278 0.958 0.335 1
O6 O 0.321 0.319 0.092 1
O7 O 0.495 0.659 0.587 1
```

Peak list (10 most intense, 10° ≤ 2θ ≤ 90°, in order of rising 2θ)
2θ = 12.10°, I = 95.3, (0 1 0)
2θ = 25.02°, I = 72.4, (1 2 1)
2θ = 29.28°, I = 92.8, (1 -1 1)
2θ = 29.48°, I = 75.5, (1 2 -1)
2θ = 30.05°, I = 80.3, (1 2 2)
2θ = 30.21°, I = 100.0, (-1 1 2)
2θ = 33.57°, I = 73.3, (2 1 0)
2θ = 34.51°, I = 39.9, (0 0 3)
2θ = 36.88°, I = 38.9, (1 3 2)
2θ = 57.67°, I = 38.2, (1 5 2)

***

5.
# Li3NiPCO7
Simulated XRD peak list, a wavelength of 1.5418 Å. Input: a crystal structure in the Materials Project, relaxed with PBE+U.

Structural model:
```
data_Li3NiPCO7
_cell_length_a 8.554
_cell_length_b 6.345
_cell_length_c 9.772
_cell_angle_alpha 90.00
_cell_angle_beta 94.72
_cell_angle_gamma 90.00
_space_group_name_H-M_alt 'P 1 21 1'
_space_group_IT_number 4
_space_group_name_Hall 'P 2yb'
loop_
_atom_site_label
_atom_site_type_symbol
_atom_site_fract_x
_atom_site_fract_y
_atom_site_fract_z
_atom_site_occupancy
Li1 Li 0.110 0.000 0.113 1
Li2 Li 0.110 0.000 0.613 1
Li3 Li 0.281 0.222 0.378 1
Li4 Li 0.281 0.223 0.878 1
Li5 Li 0.358 0.481 0.110 1
Li6 Li 0.359 0.481 0.610 1
Ni1 Ni 0.265 0.736 0.372 1
Ni2 Ni 0.265 0.737 0.872 1
P1 P 0.409 0.986 0.138 1
P2 P 0.410 0.986 0.638 1
C1 C 0.043 0.498 0.146 1
C2 C 0.043 0.499 0.646 1
O1 O 0.066 0.503 0.018 1
O2 O 0.066 0.504 0.518 1
O3 O 0.102 0.975 0.316 1
O4 O 0.102 0.975 0.815 1
O5 O 0.157 0.512 0.241 1
O6 O 0.158 0.512 0.741 1
O7 O 0.311 0.179 0.089 1
O8 O 0.311 0.179 0.589 1
O9 O 0.317 0.794 0.074 1
O10 O 0.317 0.794 0.574 1
O11 O 0.414 0.964 0.298 1
O12 O 0.414 0.965 0.798 1
O13 O 0.420 0.489 0.403 1
O14 O 0.420 0.489 0.903 1
```

Peak list (10 most intense, 10° ≤ 2θ ≤ 90°, in order of rising 2θ)
2θ = 10.38°, I = 25.9, (1 0 0)
2θ = 17.42°, I = 100.0, (1 1 0)
2θ = 23.02°, I = 50.1, (0 1 2)
2θ = 24.67°, I = 25.4, (1 1 -2)
2θ = 25.17°, I = 21.0, (2 1 0)
2θ = 25.94°, I = 33.1, (1 1 2)
2θ = 30.19°, I = 24.7, (2 1 -2)
2θ = 35.26°, I = 89.7, (2 2 0)
2θ = 36.92°, I = 20.2, (0 0 4)
2θ = 51.67°, I = 19.1, (4 2 0)

***

6.
# Li3V2P4H2O16
Simulated XRD peak list, a wavelength of 1.5418 Å. Input: a crystal structure in the Materials Project, relaxed with PBE+U.

Structural model:
```
data_Li3V2P4H2O16
_cell_length_a 7.876
_cell_length_b 9.433
_cell_length_c 9.434
_cell_angle_alpha 117.80
_cell_angle_beta 100.99
_cell_angle_gamma 101.17
_space_group_name_H-M_alt 'P 1'
_space_group_IT_number 1
_space_group_name_Hall 'P 1'
loop_
_atom_site_label
_atom_site_type_symbol
_atom_site_fract_x
_atom_site_fract_y
_atom_site_fract_z
_atom_site_occupancy
Li1 Li 0.000 0.000 0.000 1
Li2 Li 0.008 0.494 0.499 1
Li3 Li 0.308 0.910 0.180 1
Li4 Li 0.499 0.118 0.890 1
Li5 Li 0.507 0.620 0.385 1
Li6 Li 0.810 0.300 0.801 1
V1 V 0.143 0.704 0.339 1
V2 V 0.155 0.211 0.841 1
V3 V 0.652 0.456 0.593 1
V4 V 0.658 0.957 0.100 1
P1 P 0.388 0.216 0.200 1
P2 P 0.394 0.717 0.699 1
P3 P 0.415 0.600 0.085 1
P4 P 0.419 0.100 0.579 1
P5 P 0.884 0.311 0.098 1
P6 P 0.888 0.813 0.601 1
P7 P 0.920 0.199 0.484 1
P8 P 0.924 0.697 0.986 1
H1 H 0.152 0.210 0.340 1
H2 H 0.171 0.698 0.828 1
H3 H 0.637 0.475 0.103 1
H4 H 0.648 0.968 0.594 1
O1 O 0.004 0.470 0.278 1
O2 O 0.008 0.968 0.777 1
O3 O 0.009 0.791 0.480 1
O4 O 0.091 0.276 0.456 1
O5 O 0.102 0.770 0.963 1
O6 O 0.207 0.143 0.222 1
O7 O 0.211 0.641 0.717 1
O8 O 0.299 0.445 0.912 1
O9 O 0.300 0.942 0.403 1
O10 O 0.307 0.626 0.216 1
O11 O 0.320 0.123 0.709 1
O12 O 0.342 0.220 0.037 1
O13 O 0.342 0.717 0.533 1
O14 O 0.463 0.762 0.080 1
O15 O 0.476 0.259 0.567 1
O16 O 0.493 0.090 0.183 1
O17 O 0.506 0.395 0.358 1
O18 O 0.506 0.893 0.856 1
O19 O 0.512 0.597 0.679 1
O20 O 0.592 0.578 0.168 1
O21 O 0.601 0.077 0.654 1
O22 O 0.705 0.332 0.025 1
O23 O 0.709 0.833 0.532 1
O24 O 0.795 0.026 0.333 1
O25 O 0.800 0.520 0.828 1
O26 O 0.808 0.331 0.511 1
O27 O 0.819 0.824 0.011 1
O28 O 0.845 0.149 0.106 1
O29 O 0.846 0.647 0.605 1
O30 O 0.964 0.196 0.648 1
O31 O 0.973 0.678 0.143 1
O32 O 0.994 0.296 0.975 1
```

Peak list (10 most intense, 10° ≤ 2θ ≤ 90°, in order of rising 2θ)
2θ = 16.35°, I = 71.9, (1 -1 1)
2θ = 22.53°, I = 57.6, (0 2 0)
2θ = 24.98°, I = 100.0, (-2 1 1)
2θ = 25.19°, I = 67.7, (1 -2 2)
2θ = 28.99°, I = 90.5, (1 0 2)
2θ = 29.13°, I = 46.8, (1 -3 1)
2θ = 29.66°, I = 26.4, (0 3 -1)
2θ = 33.05°, I = 59.3, (2 2 -2)
2θ = 38.67°, I = 24.8, (-1 1 3)
2θ = 51.72°, I = 30.5, (4 1 -3)